(1)
Starting from a structure optimized by DFT (GGA-PBE), the powder XRD pattern of PmTm4 was computed for a wavelength of 1.5418 Å.
No peak broadening, texture or thermal motion is included.

Crystal structure
```
PmTm4
1.0
5.3581 0.0000 0.0000
0.0000 16.5629 0.0000
0.0000 0.0000 3.4861
Pm Tm
2 8
direct
0.0000 0.0000 0.0000 Pm
0.5000 0.5000 0.0000 Pm
0.0000 0.2003 0.0000 Tm
0.0000 0.3881 0.5000 Tm
0.0000 0.6119 0.5000 Tm
0.0000 0.7997 0.0000 Tm
0.5000 0.1119 0.5000 Tm
0.5000 0.2997 0.0000 Tm
0.5000 0.7003 0.0000 Tm
0.5000 0.8881 0.5000 Tm
```

Principal peaks in the range 2θ = 5–70°, by angle:
31.08°, intensity 86; 31.76°, intensity 100; 33.45°, intensity 46; 33.61°, intensity 44; 34.74°, intensity 22; 41.74°, intensity 15; 48.14°, intensity 33; 58.32°, intensity 15; 58.73°, intensity 18; 59.35°, intensity 19; 62.67°, intensity 36; 63.69°, intensity 15

***

(2)
Starting from a structure optimized by DFT (GGA-PBE), the powder XRD pattern of Pm2Y4Tm7 was computed for a wavelength of 1.5418 Å.
No peak broadening, texture or thermal motion is included.

Crystal structure
```
Pm2Y4Tm7
1.0
6.3526 0.0000 0.0000
2.7006 5.8245 0.0000
2.3030 -0.7915 11.2577
Pm Y Tm
2 4 7
direct
0.0675 0.2067 0.0173 Pm
0.9325 0.7933 0.9827 Pm
0.2258 0.2148 0.4688 Y
0.3825 0.6498 0.3810 Y
0.6175 0.3502 0.6190 Y
0.7742 0.7852 0.5312 Y
0.0089 0.4318 0.7556 Tm
0.1532 0.8818 0.6937 Tm
0.4493 0.0183 0.1781 Tm
0.5000 0.5000 0.0000 Tm
0.5507 0.9817 0.8219 Tm
0.8468 0.1182 0.3063 Tm
0.9911 0.5682 0.2444 Tm
```

Principal peaks in the range 2θ = 5–70°, by angle:
7.85°, intensity 37; 27.15°, intensity 37; 28.74°, intensity 57; 30.93°, intensity 89; 31.06°, intensity 85; 31.28°, intensity 100; 31.63°, intensity 45; 31.78°, intensity 46; 32.42°, intensity 80; 33.06°, intensity 97; 33.64°, intensity 74; 33.71°, intensity 40

***

(3)
Starting from a structure optimized by DFT (GGA-PBE), the powder XRD pattern of PmY5Tm7 was computed for a wavelength of 1.5418 Å.
No peak broadening, texture or thermal motion is included.

Crystal structure
```
PmY5Tm7
1.0
-3.3647 5.4855 5.7466
3.3647 -5.4855 5.7466
3.3647 5.4855 -5.7466
Pm Y Tm
1 5 7
direct
0.0000 0.0000 0.0000 Pm
0.0220 0.0285 0.4565 Y
0.0220 0.5655 0.9934 Y
0.2995 0.7995 0.5000 Y
0.5721 0.0285 0.0066 Y
0.5721 0.5655 0.5435 Y
0.2175 0.5469 0.6706 Tm
0.3008 0.3008 0.0000 Tm
0.3799 0.0497 0.3302 Tm
0.6040 0.6040 0.0000 Tm
0.7195 0.0497 0.6698 Tm
0.7980 0.2980 0.5000 Tm
0.8763 0.5469 0.3294 Tm
```

Principal peaks in the range 2θ = 5–70°, by angle:
26.49°, intensity 42; 27.76°, intensity 52; 30.79°, intensity 37; 31.14°, intensity 86; 31.43°, intensity 30; 31.91°, intensity 100; 34.96°, intensity 65; 36.29°, intensity 20; 50.28°, intensity 29; 57.35°, intensity 23; 57.88°, intensity 28; 66.70°, intensity 22

***

(4)
Starting from a structure optimized by DFT (GGA-PBE), the powder XRD pattern of Pm12Y5Tm2 was computed for a wavelength of 1.5418 Å.
No peak broadening, texture or thermal motion is included.

Crystal structure
```
Pm12Y5Tm2
1.0
8.9250 -5.8689 0.0000
8.9250 5.8689 0.0000
-1.3266 0.0000 6.0900
Pm Y Tm
12 5 2
direct
0.0485 0.5599 0.8030 Pm
0.0545 0.0545 0.2741 Pm
0.1475 0.6451 0.3819 Pm
0.3549 0.8525 0.6181 Pm
0.3820 0.3820 0.9951 Pm
0.4401 0.9515 0.1970 Pm
0.5599 0.0485 0.8030 Pm
0.6180 0.6180 0.0049 Pm
0.6451 0.1475 0.3819 Pm
0.8525 0.3549 0.6181 Pm
0.9455 0.9455 0.7259 Pm
0.9515 0.4401 0.1970 Pm
0.1765 0.1765 0.8615 Y
0.2829 0.2829 0.4426 Y
0.5000 0.5000 0.5000 Y
0.7171 0.7171 0.5574 Y
0.8235 0.8235 0.1385 Y
0.2665 0.7335 0.0000 Tm
0.7335 0.2665 0.0000 Tm
```

Principal peaks in the range 2θ = 5–70°, by angle:
27.69°, intensity 21; 28.93°, intensity 14; 29.67°, intensity 21; 30.46°, intensity 56; 31.14°, intensity 23; 31.58°, intensity 100; 32.78°, intensity 49; 34.78°, intensity 22; 35.27°, intensity 14; 44.13°, intensity 17; 54.84°, intensity 26; 56.95°, intensity 13

***

(5)
Starting from a structure optimized by DFT (GGA-PBE), the powder XRD pattern of Pm3Y2Tm2 was computed for a wavelength of 1.5418 Å.
No peak broadening, texture or thermal motion is included.

Crystal structure
```
Pm3Y2Tm2
1.0
11.8767 0.0000 0.0000
0.0000 3.5831 0.0000
-1.1127 0.0000 10.6763
Pm Y Tm
6 4 4
direct
0.0000 0.0000 0.0000 Pm
0.1414 0.0000 0.5695 Pm
0.3586 0.5000 0.4305 Pm
0.5000 0.5000 0.0000 Pm
0.6414 0.5000 0.5695 Pm
0.8586 0.0000 0.4305 Pm
0.2147 0.5000 0.8569 Y
0.2853 0.0000 0.1431 Y
0.7147 0.0000 0.8569 Y
0.7853 0.5000 0.1431 Y
0.0719 0.5000 0.2847 Tm
0.4281 0.0000 0.7153 Tm
0.5719 0.0000 0.2847 Tm
0.9281 0.5000 0.7153 Tm
```

Principal peaks in the range 2θ = 5–70°, by angle:
8.28°, intensity 3; 15.00°, intensity 2; 16.38°, intensity 2; 27.56°, intensity 1; 30.58°, intensity 100; 35.46°, intensity 50; 50.96°, intensity 18; 51.07°, intensity 18; 60.63°, intensity 32; 60.75°, intensity 11; 63.62°, intensity 9; 63.81°, intensity 3

***

(6)
Starting from a structure optimized by DFT (GGA-PBE), the powder XRD pattern of Pm4Y4Tm was computed for a wavelength of 1.5418 Å.
No peak broadening, texture or thermal motion is included.

Crystal structure
```
Pm4Y4Tm
1.0
-5.4004 5.4004 2.5418
5.4004 -5.4004 2.5418
5.4004 5.4004 -2.5418
Pm Y Tm
4 4 1
direct
0.0000 0.3323 0.3323 Pm
0.0000 0.6677 0.6677 Pm
0.3323 0.0000 0.3323 Pm
0.6677 0.0000 0.6677 Pm
0.3344 0.3344 0.6688 Y
0.3344 0.6656 0.0000 Y
0.6656 0.3344 0.0000 Y
0.6656 0.6656 0.3312 Y
0.0000 0.0000 0.0000 Tm
```

Principal peaks in the range 2θ = 5–70°, by angle:
16.41°, intensity 3; 19.30°, intensity 4; 26.09°, intensity 2; 30.42°, intensity 100; 34.76°, intensity 2; 35.27°, intensity 50; 44.43°, intensity 1; 45.63°, intensity 1; 50.74°, intensity 36; 54.79°, intensity 1; 60.32°, intensity 42; 63.31°, intensity 12

***

What did the second record say?
Starting from a structure optimized by DFT (GGA-PBE), the powder XRD pattern of Pm2Y4Tm7 was computed for a wavelength of 1.5418 Å.
No peak broadening, texture or thermal motion is included.

Crystal structure
```
Pm2Y4Tm7
1.0
6.3526 0.0000 0.0000
2.7006 5.8245 0.0000
2.3030 -0.7915 11.2577
Pm Y Tm
2 4 7
direct
0.0675 0.2067 0.0173 Pm
0.9325 0.7933 0.9827 Pm
0.2258 0.2148 0.4688 Y
0.3825 0.6498 0.3810 Y
0.6175 0.3502 0.6190 Y
0.7742 0.7852 0.5312 Y
0.0089 0.4318 0.7556 Tm
0.1532 0.8818 0.6937 Tm
0.4493 0.0183 0.1781 Tm
0.5000 0.5000 0.0000 Tm
0.5507 0.9817 0.8219 Tm
0.8468 0.1182 0.3063 Tm
0.9911 0.5682 0.2444 Tm
```

Principal peaks in the range 2θ = 5–70°, by angle:
7.85°, intensity 37; 27.15°, intensity 37; 28.74°, intensity 57; 30.93°, intensity 89; 31.06°, intensity 85; 31.28°, intensity 100; 31.63°, intensity 45; 31.78°, intensity 46; 32.42°, intensity 80; 33.06°, intensity 97; 33.64°, intensity 74; 33.71°, intensity 40